Record 1
Structure and simulated XRD peak list of Pm2Pr2Ho (a crystal structure in Alexandria, relaxed with PBE; CuKα).
Kinematic intensities with the Lorentz-polarization factor, no thermal factor.

Most intense lines, 2θ = 10–90°, in order of rising 2θ:
d [Å]  2θ (°)  intensity  hkl
3.196  27.91  23  0 2 0
2.946  30.34  25  2 0 2
2.809  31.85  100  1 2 1
2.166  41.70  16  2 2 2
1.845  49.39  20  4 0 -6
1.673  54.87  21  5 1 0
1.564  59.07  23  0 3 5
1.543  59.95  11  5 2 -5

Cell: 9.450 6.386 12.551 Å, 90.00 113.44 90.00°
Space group P2_1/c (No. 14)
Asymmetric unit:
Pm 0.152 0.166 0.101 [4 per cell]
Pm 0.253 0.668 0.999 [4 per cell]
Pr 0.048 0.667 0.198 [4 per cell]
Pr 0.451 0.669 0.802 [4 per cell]
Ho 0.351 0.164 0.901 [4 per cell]

=====

Record 2
Structure and simulated XRD peak list of NaPu2AsO8 (a crystal structure in Alexandria, relaxed with PBE; CuKα).
Kinematic intensities with the Lorentz-polarization factor, no thermal factor.

Most intense lines, 2θ = 10–90°, in order of rising 2θ:
d [Å]  2θ (°)  intensity  hkl
4.888  18.15  96  1 1 0
3.518  25.32  56  0 2 0
3.398  26.22  49  2 0 0
2.810  31.85  100  1 1 2
2.457  36.57  28  0 2 2
2.444  36.77  27  2 2 0
1.862  48.90  41  1 3 2
1.826  49.94  36  3 1 2

Cell: 6.797 7.036 6.867 Å, 90.00 90.00 90.00°
Space group Cmmm (No. 65)
Asymmetric unit:
Na 0.000 0.000 0.000 [2 per cell]
Pu 0.000 0.500 0.251 [4 per cell]
As 0.000 0.000 0.500 [2 per cell]
O 0.000 0.299 0.500 [4 per cell]
O 0.000 0.325 0.000 [4 per cell]
O 0.212 0.000 0.270 [8 per cell]